Diffraction record for Nd2ErAl3Cu2Ni. The XRD peak list is simulated, not measured: it uses DFT lattice parameters and positions (GGA-PBE) and Cu Kα X-rays.
Kinematic intensities with the Lorentz-polarization factor, no thermal factor.

The 10 most intense peaks (10 to 80 degrees two-theta), low angle first:
2θ 14.5, rel. 17.5, hkl 0 1 1; 2θ 21.9, rel. 35.4, hkl 1 0 0; 2θ 25.1, rel. 35.1, hkl 0 3 1; 2θ 29.3, rel. 27.8, hkl 0 2 2; 2θ 33.6, rel. 100.0, hkl 1 3 1; 2θ 33.8, rel. 43.7, hkl 1 0 2; 2θ 36.6, rel. 49.7, hkl 1 4 0; 2θ 36.9, rel. 79.7, hkl 1 2 2; 2θ 44.7, rel. 51.4, hkl 2 0 0; 2θ 54.4, rel. 19.6, hkl 0 2 4

Crystal structure
Cell: 4.051 12.331 7.002 Å, 90.00 90.00 90.00°
Space group Amm2 (No. 38)
Asymmetric unit:
Nd 0.000 0.206 0.000 (multiplicity 4)
Er 0.000 0.000 0.618 (multiplicity 2)
Al 0.500 0.000 0.979 (multiplicity 2)
Al 0.500 0.112 0.325 (multiplicity 4)
Cu 0.500 0.159 0.704 (multiplicity 4)
Ni 0.000 0.000 0.216 (multiplicity 2)